Structure and simulated X-ray diffraction stick pattern of USiO7 (a cell relaxed with PBE; Cu Kα).

Structure:
Lattice parameters (Å, degrees): 8.834 8.834 6.735 90.00 90.00 132.72
Fractional coordinates of all 18 atoms:
U 0.202 0.798 0.000
U 0.798 0.202 0.000
Si 0.397 0.603 0.000
Si 0.603 0.397 0.000
O 0.038 0.962 0.000
O 0.155 0.490 0.000
O 0.198 0.802 0.265
O 0.198 0.802 0.735
O 0.455 0.545 0.206
O 0.455 0.545 0.794
O 0.490 0.155 0.000
O 0.510 0.845 0.000
O 0.545 0.455 0.206
O 0.545 0.455 0.794
O 0.802 0.198 0.265
O 0.802 0.198 0.735
O 0.845 0.510 0.000
O 0.962 0.038 0.000

Peak list (10 most intense, 2θ = 10–90°, sorted by position)
d = 8.093 Å, I 45
d = 6.735 Å, I 100
d = 5.177 Å, I 30
d = 4.292 Å, I 25
d = 3.620 Å, I 18
d = 3.542 Å, I 23
d = 3.135 Å, I 21
d = 2.944 Å, I 22
d = 2.698 Å, I 27
d = 2.217 Å, I 13



Structure and simulated X-ray diffraction stick pattern of U6Si11O (a cell relaxed with PBE; Cu Kα).

Structure:
Lattice parameters (Å, degrees): 6.981 6.981 7.546 90.00 90.00 120.00
Fractional coordinates of all 18 atoms:
U 0.000 0.675 0.247
U 0.000 0.675 0.753
U 0.325 0.325 0.247
U 0.325 0.325 0.753
U 0.675 0.000 0.247
U 0.675 0.000 0.753
Si 0.000 0.000 0.500
Si 0.000 0.332 0.000
Si 0.000 0.337 0.500
Si 0.332 0.000 0.000
Si 0.333 0.667 0.000
Si 0.333 0.667 0.500
Si 0.337 0.000 0.500
Si 0.663 0.663 0.500
Si 0.667 0.333 0.000
Si 0.667 0.333 0.500
Si 0.668 0.668 0.000
O 0.000 0.000 0.000

Peak list (10 most intense, 2θ = 10–90°, sorted by position)
d = 3.773 Å, I 19
d = 3.490 Å, I 67
d = 2.562 Å, I 100
d = 2.015 Å, I 30
d = 1.778 Å, I 16
d = 1.745 Å, I 10
d = 1.660 Å, I 17
d = 1.584 Å, I 23
d = 1.377 Å, I 18
d = 1.245 Å, I 22